[1]
Structure and computed XRD peak list of Mg4In3Ag2 (a crystal structure in Alexandria, relaxed with PBE; Cu Kα, 1.54184 Å).
No peak broadening, texture or thermal motion is included.

Peak list (12 most intense, 10° ≤ 2θ ≤ 90°, by angle)
2θ (°)	d_spacing	I_rel	h k l
19.0	4.676	55	0 1 -1
23.1	3.844	53	0 1 -2
25.5	3.492	28	-1 1 1
25.6	3.477	28	1 0 1
34.5	2.603	100	1 0 -3
35.0	2.566	96	1 -1 3
35.7	2.516	92	1 1 0
35.9	2.504	91	1 -2 0
39.7	2.270	67	0 1 3
41.2	2.193	62	2 -1 0
41.9	2.157	57	0 2 -3
70.2	1.341	24	1 2 3

Structure:
a = 4.3871 Å, b = 5.2500 Å, c = 9.6060 Å
α = 104.73°, β = 90.85°, γ = 114.16°
Space group P-1 (No. 2)
Symmetry-distinct sites (fractional):
Mg (0.0029, 0.0060, 0.3230) (multiplicity 2)
Mg (0.3339, 0.6668, 0.1098) (multiplicity 2)
In (0.0000, 0.0000, 0.0000) (multiplicity 1)
In (0.3323, 0.6662, 0.4376) (multiplicity 2)
Ag (0.3291, 0.6608, 0.7859) (multiplicity 2)



[2]
Structure and computed XRD peak list of Mg4InAg2 (a crystal structure in Alexandria, relaxed with PBE; Cu Kα, 1.54184 Å).
No peak broadening, texture or thermal motion is included.

Peak list (12 most intense, 10° ≤ 2θ ≤ 90°, by angle)
2θ (°)	d_spacing	I_rel	h k l
11.5	7.681	38	0 0 3
21.9	4.051	24	1 0 1
22.9	3.875	20	0 1 2
26.6	3.348	76	1 0 4
34.9	2.571	22	1 0 7
37.9	2.376	100	1 1 0
38.1	2.360	89	0 1 8
46.9	1.938	16	0 2 4
54.8	1.674	30	2 0 8
62.2	1.493	16	1 1 12
68.4	1.372	16	3 0 0
68.6	1.369	29	1 2 8

Structure:
a = 4.7517 Å, b = 4.7517 Å, c = 23.0422 Å
α = 90.00°, β = 90.00°, γ = 120.00°
Space group R-3m (No. 166, hexagonal axes)
Symmetry-distinct sites (fractional):
Mg (0.0000, 0.0000, 0.1098) (multiplicity 6)
Mg (0.0000, 0.0000, 0.3677) (multiplicity 6)
In (0.0000, 0.0000, 0.5000) (multiplicity 3)
Ag (0.0000, 0.0000, 0.2469) (multiplicity 6)



[3]
Structure and computed XRD peak list of MgIn4Ag7 (a crystal structure in Alexandria, relaxed with PBE; Cu Kα, 1.54184 Å).
No peak broadening, texture or thermal motion is included.

Peak list (12 most intense, 10° ≤ 2θ ≤ 90°, by angle)
2θ (°)	d_spacing	I_rel	h k l
21.9	4.052	20	1 -1 0
32.3	2.774	25	0 2 0
36.9	2.434	90	1 -2 1
37.2	2.416	100	2 0 1
37.9	2.373	99	1 1 -3
38.2	2.358	53	1 2 0
39.2	2.299	88	1 0 3
39.7	2.272	65	-2 1 2
40.1	2.248	32	0 2 2
55.5	1.655	16	3 -1 1
67.4	1.389	20	2 -2 4
69.3	1.356	20	2 3 -3

Structure:
a = 5.4053 Å, b = 5.5784 Å, c = 8.3852 Å
α = 92.08°, β = 99.12°, γ = 95.61°
Space group P-1 (No. 2)
Symmetry-distinct sites (fractional):
Mg (0.0000, 0.0000, 0.0000) (multiplicity 1)
In (0.1404, 0.3960, 0.6636) (multiplicity 2)
In (0.3751, 0.7773, 0.2342) (multiplicity 2)
Ag (0.0000, 0.5000, 0.0000) (multiplicity 1)
Ag (0.2089, 0.2534, 0.3165) (multiplicity 2)
Ag (0.2594, 0.8932, 0.5621) (multiplicity 2)
Ag (0.4533, 0.7484, 0.9057) (multiplicity 2)



[4]
Structure and computed XRD peak list of MgIn2Ag2 (a crystal structure in Alexandria, relaxed with PBE; Cu Kα, 1.54184 Å).
No peak broadening, texture or thermal motion is included.

Peak list (12 most intense, 10° ≤ 2θ ≤ 90°, by angle)
2θ (°)	d_spacing	I_rel	h k l
20.8	4.264	27	0 1 1
26.0	3.424	14	1 0 2
28.3	3.159	9	1 1 1
38.2	2.355	100	0 2 0
38.3	2.351	20	2 0 0
40.9	2.206	5	1 0 4
44.0	2.059	7	2 1 1
46.8	1.942	6	1 2 2
55.2	1.665	20	2 2 0
69.1	1.360	26	1 3 3
69.2	1.358	13	3 1 3
81.8	1.177	8	2 2 6

Structure:
a = 4.7023 Å, b = 4.7150 Å, c = 9.9903 Å
α = 90.00°, β = 90.00°, γ = 90.00°
Space group Pmmn (No. 59, origin choice 2)
Symmetry-distinct sites (fractional):
Mg (0.2500, 0.2500, 0.1747) (multiplicity 2)
In (0.2500, 0.2500, 0.4981) (multiplicity 2)
In (0.2500, 0.2500, 0.8236) (multiplicity 2)
Ag (0.2500, 0.7500, 0.0015) (multiplicity 2)
Ag (0.2500, 0.7500, 0.3327) (multiplicity 2)



[5]
Structure and computed XRD peak list of PrMg2In2Ag2 (a crystal structure in Alexandria, relaxed with PBE; Cu Kα, 1.54184 Å).
No peak broadening, texture or thermal motion is included.

Peak list (12 most intense, 10° ≤ 2θ ≤ 90°, by angle)
2θ (°)	d_spacing	I_rel	h k l
21.0	4.225	14	0 0 6
25.9	3.438	70	1 0 4
33.0	2.712	88	1 0 7
38.1	2.363	100	1 1 0
43.9	2.062	12	1 1 6
45.2	2.008	19	0 1 11
46.6	1.947	14	0 2 4
51.3	1.781	25	0 2 7
61.7	1.503	12	2 1 4
62.9	1.478	13	1 0 16
65.6	1.422	23	2 1 7
68.8	1.364	17	3 0 0

Structure:
a = 4.7251 Å, b = 4.7251 Å, c = 25.3496 Å
α = 90.00°, β = 90.00°, γ = 120.00°
Space group R-3m (No. 166, hexagonal axes)
Symmetry-distinct sites (fractional):
Pr (0.0000, 0.0000, 0.0000) (multiplicity 3)
Mg (0.0000, 0.0000, 0.1380) (multiplicity 6)
In (0.0000, 0.0000, 0.2610) (multiplicity 6)
Ag (0.0000, 0.0000, 0.4392) (multiplicity 6)



[6]
Structure and computed XRD peak list of MgInAgRu (a crystal structure in Alexandria, relaxed with PBE; Cu Kα, 1.54184 Å).
No peak broadening, texture or thermal motion is included.

Peak list (12 most intense, 10° ≤ 2θ ≤ 90°, by angle)
2θ (°)	d_spacing	I_rel	h k l
23.6	3.767	16	1 1 1
27.3	3.262	6	2 0 0
39.0	2.307	100	2 2 0
46.1	1.967	8	3 1 1
48.3	1.884	1	2 2 2
56.4	1.631	16	4 0 0
62.0	1.497	3	3 3 1
63.8	1.459	2	4 2 0
70.7	1.332	33	4 2 2
75.7	1.256	2	5 1 1
83.9	1.153	10	4 4 0
88.7	1.103	3	5 3 1

Structure:
a = 6.5249 Å, b = 6.5249 Å, c = 6.5249 Å
α = 90.00°, β = 90.00°, γ = 90.00°
Space group F-43m (No. 216)
Symmetry-distinct sites (fractional):
Mg (0.0000, 0.0000, 0.0000) (multiplicity 4)
In (0.0000, 0.0000, 0.5000) (multiplicity 4)
Ag (0.2500, 0.2500, 0.7500) (multiplicity 4)
Ru (0.2500, 0.2500, 0.2500) (multiplicity 4)



[7]
Structure and computed XRD peak list of MgIn2AgSe4 (a crystal structure in Alexandria, relaxed with PBE; Cu Kα, 1.54184 Å).
No peak broadening, texture or thermal motion is included.

Peak list (12 most intense, 10° ≤ 2θ ≤ 90°, by angle)
2θ (°)	d_spacing	I_rel	h k l
24.1	3.697	47	0 0 2
29.1	3.071	78	2 1 1
29.4	3.039	67	1 1 2
33.6	2.669	59	2 2 0
37.7	2.387	21	3 1 0
45.2	2.006	100	3 1 2
45.6	1.991	21	2 1 3
49.3	1.848	18	0 0 4
51.4	1.778	27	4 1 1
54.3	1.688	19	4 2 0
61.0	1.520	20	2 2 4
78.2	1.222	30	5 3 2

Structure:
a = 7.5498 Å, b = 7.5498 Å, c = 7.3936 Å
α = 90.00°, β = 90.00°, γ = 90.00°
Space group I-42m (No. 121)
Symmetry-distinct sites (fractional):
Mg (0.0000, 0.0000, 0.0000) (multiplicity 2)
In (0.0000, 0.5000, 0.2500) (multiplicity 4)
Ag (0.0000, 0.0000, 0.5000) (multiplicity 2)
Se (0.1805, 0.1805, 0.7587) (multiplicity 8)



[8]
Structure and computed XRD peak list of MgIn4AgSe8 (a crystal structure in Alexandria, relaxed with PBE; Cu Kα, 1.54184 Å).
No peak broadening, texture or thermal motion is included.

Peak list (12 most intense, 10° ≤ 2θ ≤ 90°, by angle)
2θ (°)	d_spacing	I_rel	h k l
13.4	6.589	15	0 0 3
22.0	4.041	40	1 0 4
25.8	3.451	100	0 2 1
31.3	2.860	77	0 2 4
38.5	2.337	16	2 1 4
41.0	2.202	54	0 2 7
44.7	2.025	68	2 2 0
44.9	2.020	69	2 0 8
52.4	1.747	12	4 0 1
55.6	1.653	13	4 0 4
65.2	1.430	20	0 4 8
82.5	1.169	29	4 2 8

Structure:
a = 8.1019 Å, b = 8.1019 Å, c = 19.7604 Å
α = 90.00°, β = 90.00°, γ = 120.00°
Space group R3m (No. 160, hexagonal axes)
Symmetry-distinct sites (fractional):
Mg (0.0000, 0.0000, 0.0000) (multiplicity 3)
In (0.0000, 0.0000, 0.3829) (multiplicity 3)
In (0.0124, 0.5062, 0.5049) (multiplicity 9)
Ag (0.0000, 0.0000, 0.6224) (multiplicity 3)
Se (0.0000, 0.0000, 0.2462) (multiplicity 3)
Se (0.0000, 0.0000, 0.7572) (multiplicity 3)
Se (0.0292, 0.5146, 0.7555) (multiplicity 9)
Se (0.1780, 0.3561, 0.5860) (multiplicity 9)



[9]
Structure and computed XRD peak list of SrMgIn2Ag (a crystal structure in Alexandria, relaxed with PBE; Cu Kα, 1.54184 Å).
No peak broadening, texture or thermal motion is included.

Peak list (12 most intense, 10° ≤ 2θ ≤ 90°, by angle)
2θ (°)	d_spacing	I_rel	h k l
20.1	4.408	29	0 1 1
21.2	4.182	29	1 0 1
27.7	3.216	26	1 1 0
28.1	3.174	27	0 1 3
28.9	3.086	44	1 0 3
31.1	2.880	100	1 1 2
38.4	2.344	38	0 2 0
39.5	2.280	44	1 1 4
39.8	2.265	44	0 1 5
40.8	2.209	32	2 0 0
57.0	1.617	23	0 0 8
58.3	1.582	27	2 1 5

Structure:
a = 4.4189 Å, b = 4.6883 Å, c = 12.9376 Å
α = 90.00°, β = 90.00°, γ = 90.00°
Space group Imm2 (No. 44)
Symmetry-distinct sites (fractional):
Sr (0.0000, 0.0000, 0.0000) (multiplicity 2)
Mg (0.0000, 0.5000, 0.7572) (multiplicity 2)
In (0.0000, 0.0000, 0.6109) (multiplicity 2)
In (0.0000, 0.5000, 0.2670) (multiplicity 2)
Ag (0.0000, 0.0000, 0.3956) (multiplicity 2)



[10]
Structure and computed XRD peak list of Mg5TlIn2Ag2 (a crystal structure in Alexandria, relaxed with PBE; Cu Kα, 1.54184 Å).
No peak broadening, texture or thermal motion is included.

Peak list (12 most intense, 10° ≤ 2θ ≤ 90°, by angle)
2θ (°)	d_spacing	I_rel	h k l
20.9	4.253	40	2 2 0
23.4	3.804	97	3 1 0
26.7	3.336	21	3 2 0
27.7	3.219	38	0 0 1
30.6	2.917	19	4 1 0
35.0	2.567	48	2 2 1
36.6	2.457	100	3 1 1
38.9	2.317	22	3 2 1
42.5	2.126	22	4 4 0
43.9	2.063	24	5 3 0
54.5	1.685	22	6 1 1
73.9	1.283	23	4 4 2

Structure:
a = 12.0281 Å, b = 12.0281 Å, c = 3.2194 Å
α = 90.00°, β = 90.00°, γ = 90.00°
Space group P4/mbm (No. 127)
Symmetry-distinct sites (fractional):
Mg (0.0000, 0.5000, 0.0000) (multiplicity 2)
Mg (0.0209, 0.2151, 0.0000) (multiplicity 8)
Tl (0.0000, 0.0000, 0.5000) (multiplicity 2)
In (0.1941, 0.6941, 0.5000) (multiplicity 4)
Ag (0.1333, 0.3667, 0.5000) (multiplicity 4)



[11]
Structure and computed XRD peak list of TmMg2In2Ag2 (a crystal structure in Alexandria, relaxed with PBE; Cu Kα, 1.54184 Å).
No peak broadening, texture or thermal motion is included.

Peak list (12 most intense, 10° ≤ 2θ ≤ 90°, by angle)
2θ (°)	d_spacing	I_rel	h k l
11.0	8.041	18	0 0 3
22.1	4.021	9	0 0 6
26.4	3.379	57	1 0 4
34.1	2.633	100	1 0 7
38.2	2.355	95	1 1 0
47.0	1.932	29	0 1 11
52.1	1.755	29	0 2 7
58.1	1.587	9	0 1 14
62.1	1.494	18	2 0 11
66.4	1.407	27	2 1 7
69.1	1.360	16	3 0 0
81.8	1.178	10	2 2 0

Structure:
a = 4.7103 Å, b = 4.7103 Å, c = 24.1240 Å
α = 90.00°, β = 90.00°, γ = 120.00°
Space group R-3m (No. 166, hexagonal axes)
Symmetry-distinct sites (fractional):
Tm (0.0000, 0.0000, 0.0000) (multiplicity 3)
Mg (0.0000, 0.0000, 0.1371) (multiplicity 6)
In (0.0000, 0.0000, 0.2671) (multiplicity 6)
Ag (0.0000, 0.0000, 0.4356) (multiplicity 6)



[12]
Structure and computed XRD peak list of Mg2Zn2InAg5 (a crystal structure in Alexandria, relaxed with PBE; Cu Kα, 1.54184 Å).
No peak broadening, texture or thermal motion is included.

Peak list (12 most intense, 10° ≤ 2θ ≤ 90°, by angle)
2θ (°)	d_spacing	I_rel	h k l
18.7	4.747	13	2 0 0
20.9	4.245	32	2 1 0
21.2	4.185	15	0 0 1
34.2	2.618	14	2 2 1
36.8	2.439	100	3 1 1
39.1	2.302	24	4 1 0
40.5	2.228	46	3 2 1
42.6	2.123	19	4 2 0
43.2	2.092	27	0 0 2
44.9	2.017	14	4 1 1
59.7	1.548	13	4 1 2
74.2	1.278	15	5 5 1

Structure:
a = 9.4931 Å, b = 9.4931 Å, c = 4.1845 Å
α = 90.00°, β = 90.00°, γ = 90.00°
Space group P4/mbm (No. 127)
Symmetry-distinct sites (fractional):
Mg (0.1756, 0.3244, 0.0000) (multiplicity 4)
Zn (0.1197, 0.6197, 0.0000) (multiplicity 4)
In (0.0000, 0.0000, 0.0000) (multiplicity 2)
Ag (0.0000, 0.5000, 0.5000) (multiplicity 2)
Ag (0.0800, 0.7976, 0.5000) (multiplicity 8)



[13]
Structure and computed XRD peak list of MnInAg2 (a crystal structure in Alexandria, relaxed with PBE; Cu Kα, 1.54184 Å).
No peak broadening, texture or thermal motion is included.

Peak list (12 most intense, 10° ≤ 2θ ≤ 90°, by angle)
2θ (°)	d_spacing	I_rel	h k l
19.6	4.520	13	1 1 0
36.1	2.487	61	2 0 -1
36.5	2.459	59	0 4 0
38.7	2.327	100	0 2 1
39.9	2.260	92	2 2 0
52.3	1.748	40	2 4 -1
61.0	1.518	12	2 0 1
65.9	1.418	19	2 2 -2
67.2	1.393	18	0 6 1
68.0	1.378	17	2 6 0
68.3	1.373	17	4 2 -1
73.3	1.292	14	2 4 1

Structure:
a = 5.7225 Å, b = 9.8352 Å, c = 2.9697 Å
α = 90.00°, β = 117.21°, γ = 90.00°
Space group C2/m (No. 12)
Symmetry-distinct sites (fractional):
Mn (0.0000, 0.0000, 0.0000) (multiplicity 2)
In (0.0000, 0.5000, 0.0000) (multiplicity 2)
Ag (0.2500, 0.2500, 0.5000) (multiplicity 4)



[14]
Structure and computed XRD peak list of MnInAg2 (a crystal structure in Alexandria, relaxed with PBE; Cu Kα, 1.54184 Å).
No peak broadening, texture or thermal motion is included.

Peak list (12 most intense, 10° ≤ 2θ ≤ 90°, by angle)
2θ (°)	d_spacing	I_rel	h k l
25.3	3.527	11	0 1 1
36.0	2.494	62	1 0 1
37.0	2.427	57	0 2 0
38.8	2.320	100	1 1 -1
39.7	2.269	93	0 1 2
52.6	1.739	40	1 2 1
60.7	1.526	12	1 0 -3
66.0	1.416	19	2 1 0
67.9	1.381	35	1 3 -1
68.6	1.369	17	0 3 2
73.3	1.292	14	1 2 -3
83.3	1.160	10	2 2 -2

Structure:
a = 2.9675 Å, b = 4.8535 Å, c = 5.1458 Å
α = 90.00°, β = 93.80°, γ = 90.00°
Space group P2/m (No. 10)
Symmetry-distinct sites (fractional):
Mn (0.0000, 0.0000, 0.0000) (multiplicity 1)
In (0.5000, 0.0000, 0.5000) (multiplicity 1)
Ag (0.2500, 0.5000, 0.7595) (multiplicity 2)